The following is a simulated powder diffractogram of TbScCu5. It was derived from the GGA-PBE geometry in Alexandria, using Cu Kα (λ = 1.5418 Å).
Peak positions follow from Bragg's law for the DFT cell and can differ from measured ones.

Atomic structure:
a = 8.3559 Å, b = 5.0315 Å, c = 10.8244 Å
α = 90.00°, β = 90.00°, γ = 90.00°
Space group Pnma (No. 62)
Asymmetric unit:
1 Tb 0.1066 0.2500 0.1282 x4
2 Sc 0.2130 0.2500 0.4384 x4
3 Cu 0.0866 0.5013 0.6734 x8
4 Cu 0.0958 0.7500 0.4709 x4
5 Cu 0.0974 0.2500 0.8742 x4
6 Cu 0.1659 0.7500 0.2458 x4

The 10 most intense peaks (10 to 90 degrees two-theta), in order of rising 2θ:
| d/Å | 2theta | I (rel.) |
| --- | --- | --- |
| 4.005 | 22.2 | 47 |
| 2.516 | 35.7 | 31 |
| 2.477 | 36.3 | 29 |
| 2.377 | 37.8 | 85 |
| 2.114 | 42.8 | 64 |
| 2.096 | 43.2 | 24 |
| 2.089 | 43.3 | 27 |
| 2.070 | 43.7 | 100 |
| 2.003 | 45.3 | 83 |
| 1.349 | 69.7 | 26 |